1.
For YHo5Tm5, the PBE geometry in Alexandria gives the simulated powder XRD pattern in this record (Cu Kα, 1.54184 Å).

The 10 most intense peaks (2θ = 5–70°), by intensity:
- 32.1 deg, rel. 100, (2 0 -1)
- 33.2 deg, rel. 74, (2 0 2)
- 32.3 deg, rel. 71, (0 2 2)
- 32.7 deg, rel. 71, (2 2 1)
- 34.2 deg, rel. 65, (0 0 3)
- 31.7 deg, rel. 53, (0 2 -1)
- 34.0 deg, rel. 28, (1 -2 0)
- 32.5 deg, rel. 27, (1 2 -1)
- 49.2 deg, rel. 22, (2 2 4)
- 46.8 deg, rel. 21, (2 2 -2)

Structure:
a = 6.736 Å, b = 6.921 Å, c = 8.218 Å
α = 76.21°, β = 77.02°, γ = 72.94°
Space group P-1 (No. 2)
Inequivalent atoms, fractional coordinates:
Y  0.000  0.000  0.000 (multiplicity 1)
Ho  0.000  0.500  0.000 (multiplicity 1)
Ho  0.160  0.628  0.358 (multiplicity 2)
Ho  0.330  0.761  0.656 (multiplicity 2)
Tm  0.202  0.136  0.323 (multiplicity 2)
Tm  0.353  0.246  0.720 (multiplicity 2)
Tm  0.500  0.500  0.000 (multiplicity 1)


2.
For Mg2Ga2Ir, the PBE geometry in Alexandria gives the simulated powder XRD pattern in this record (Cu Kα, 1.54184 Å).

The 10 most intense peaks (2θ = 5–70°), by intensity:
- 38.4 deg, rel. 100, (1 1 6)
- 21.5 deg, rel. 99, (1 0 1)
- 28.9 deg, rel. 89, (1 0 5)
- 15.5 deg, rel. 78, (0 0 4)
- 43.1 deg, rel. 52, (2 0 0)
- 50.3 deg, rel. 44, (1 1 10)
- 52.7 deg, rel. 34, (2 1 5)
- 48.6 deg, rel. 23, (2 1 1)
- 46.0 deg, rel. 21, (2 0 4)
- 24.2 deg, rel. 19, (1 0 3)

Structure:
a = 4.202 Å, b = 4.202 Å, c = 22.874 Å
α = 90.00°, β = 90.00°, γ = 90.00°
Space group I4_1/amd (No. 141, origin choice 2)
Inequivalent atoms, fractional coordinates:
Mg  0.000  0.250  0.050 (multiplicity 8)
Ga  0.000  0.250  0.183 (multiplicity 8)
Ir  0.000  0.250  0.375 (multiplicity 4)


3.
For KRb2VTe4, the PBE geometry in Alexandria gives the simulated powder XRD pattern in this record (Cu Kα, 1.54184 Å).

The 10 most intense peaks (2θ = 5–70°), by intensity:
- 24.8 deg, rel. 100, (2 1 1)
- 25.2 deg, rel. 50, (1 1 2)
- 29.0 deg, rel. 47, (2 0 2)
- 43.4 deg, rel. 29, (3 3 0)
- 14.4 deg, rel. 27, (1 0 1)
- 31.9 deg, rel. 26, (3 1 0)
- 35.5 deg, rel. 25, (2 2 2)
- 44.2 deg, rel. 24, (3 0 3)
- 28.5 deg, rel. 23, (2 2 0)
- 50.8 deg, rel. 16, (4 2 2)

Structure:
a = 8.860 Å, b = 8.860 Å, c = 8.544 Å
α = 90.00°, β = 90.00°, γ = 90.00°
Space group I-42m (No. 121)
Inequivalent atoms, fractional coordinates:
K  0.000  0.000  0.000 (multiplicity 2)
Rb  0.000  0.500  0.000 (multiplicity 4)
V  0.000  0.000  0.500 (multiplicity 2)
Te  0.165  0.165  0.328 (multiplicity 8)


4.
For Na2B2P3, the PBE geometry in Alexandria gives the simulated powder XRD pattern in this record (Cu Kα, 1.54184 Å).

The 10 most intense peaks (2θ = 5–70°), by intensity:
- 35.5 deg, rel. 100, (2 1 -1)
- 34.7 deg, rel. 84, (1 0 2)
- 37.6 deg, rel. 64, (1 2 1)
- 47.0 deg, rel. 55, (1 1 -3)
- 33.1 deg, rel. 48, (0 2 1)
- 34.3 deg, rel. 47, (2 1 0)
- 20.6 deg, rel. 38, (0 1 1)
- 53.8 deg, rel. 33, (3 1 1)
- 34.2 deg, rel. 31, (1 1 -2)
- 55.7 deg, rel. 30, (2 3 0)

Structure:
a = 5.869 Å, b = 6.005 Å, c = 6.272 Å
α = 90.00°, β = 98.22°, γ = 90.00°
Space group P2_1/c (No. 14)
Inequivalent atoms, fractional coordinates:
Na  0.208  0.112  0.421 (multiplicity 4)
B  0.390  0.633  0.636 (multiplicity 4)
P  0.000  0.000  0.000 (multiplicity 2)
P  0.375  0.611  0.325 (multiplicity 4)


5.
For FeCo2PdSe6, the PBE geometry in Alexandria gives the simulated powder XRD pattern in this record (Cu Kα, 1.54184 Å).

The 10 most intense peaks (2θ = 5–70°), by intensity:
- 33.5 deg, rel. 100, (1 1 3)
- 44.8 deg, rel. 57, (2 -1 6)
- 51.3 deg, rel. 45, (3 0 0)
- 20.0 deg, rel. 23, (0 1 2)
- 27.7 deg, rel. 19, (1 0 4)
- 40.5 deg, rel. 19, (0 2 4)
- 59.7 deg, rel. 18, (1 1 9)
- 62.7 deg, rel. 16, (4 -2 3)
- 50.6 deg, rel. 15, (3 -1 4)
- 60.0 deg, rel. 7, (1 0 10)

Structure:
a = 6.1649 Å, b = 6.1649 Å, c = 16.1141 Å
α = 90.00°, β = 90.00°, γ = 120.00°
Space group R3 (No. 146, hexagonal axes)
Inequivalent atoms, fractional coordinates:
Fe  0.0000  0.0000  0.0000 (multiplicity 3)
Co  0.0000  0.0000  0.3003 (multiplicity 3)
Co  0.0000  0.0000  0.7950 (multiplicity 3)
Pd  0.0000  0.0000  0.4994 (multiplicity 3)
Se  0.0040  0.3177  0.3940 (multiplicity 9)
Se  0.0207  0.7163  0.9000 (multiplicity 9)


6.
For Li8Ga2Ag, the PBE geometry in Alexandria gives the simulated powder XRD pattern in this record (Cu Kα, 1.54184 Å).

The 10 most intense peaks (2θ = 5–70°), by intensity:
- 24.3 deg, rel. 100, (1 1 0)
- 24.6 deg, rel. 81, (0 1 3)
- 40.0 deg, rel. 65, (1 2 3)
- 29.0 deg, rel. 49, (1 0 3)
- 26.9 deg, rel. 37, (0 2 0)
- 37.1 deg, rel. 27, (1 1 4)
- 48.5 deg, rel. 25, (2 1 3)
- 15.0 deg, rel. 21, (0 1 1)
- 46.0 deg, rel. 18, (1 3 0)
- 41.1 deg, rel. 18, (2 0 0)

Structure:
a = 4.388 Å, b = 6.629 Å, c = 12.947 Å
α = 90.00°, β = 90.00°, γ = 90.00°
Space group Immm (No. 71)
Inequivalent atoms, fractional coordinates:
Li  0.000  0.000  0.159 (multiplicity 4)
Li  0.000  0.219  0.347 (multiplicity 8)
Li  0.000  0.299  0.000 (multiplicity 4)
Ga  0.000  0.500  0.197 (multiplicity 4)
Ag  0.000  0.500  0.500 (multiplicity 2)


7.
For Tb2Pr2Tm5, the PBE geometry in Alexandria gives the simulated powder XRD pattern in this record (Cu Kα, 1.54184 Å).

The 10 most intense peaks (2θ = 5–70°), by intensity:
- 36.3 deg, rel. 100, (5 1 1)
- 29.9 deg, rel. 80, (3 1 -1)
- 35.0 deg, rel. 75, (3 1 -2)
- 30.0 deg, rel. 71, (4 0 2)
- 32.9 deg, rel. 71, (2 0 -3)
- 33.7 deg, rel. 52, (8 0 -1)
- 25.7 deg, rel. 42, (6 0 -1)
- 28.0 deg, rel. 42, (1 1 -1)
- 28.5 deg, rel. 41, (1 1 1)
- 42.8 deg, rel. 34, (7 1 -2)

Structure:
a = 21.567 Å, b = 3.477 Å, c = 8.200 Å
α = 90.00°, β = 99.98°, γ = 90.00°
Space group C2/m (No. 12)
Inequivalent atoms, fractional coordinates:
Tb  0.046  0.000  0.355 (multiplicity 4)
Pr  0.182  0.500  0.142 (multiplicity 4)
Tm  0.000  0.500  0.000 (multiplicity 2)
Tm  0.096  0.500  0.731 (multiplicity 4)
Tm  0.191  0.000  0.530 (multiplicity 4)


8.
For Pm2Sm3In, the PBE geometry in Alexandria gives the simulated powder XRD pattern in this record (Cu Kα, 1.54184 Å).

The 10 most intense peaks (2θ = 5–70°), by intensity:
- 30.8 deg, rel. 100, (1 2 3)
- 34.2 deg, rel. 22, (2 0 0)
- 34.1 deg, rel. 17, (0 0 6)
- 59.2 deg, rel. 16, (3 2 3)
- 49.1 deg, rel. 13, (2 0 6)
- 38.5 deg, rel. 11, (0 4 0)
- 29.9 deg, rel. 11, (1 1 4)
- 58.9 deg, rel. 9, (1 2 9)
- 52.5 deg, rel. 9, (2 4 0)
- 64.1 deg, rel. 8, (2 4 6)

Structure:
a = 5.237 Å, b = 9.344 Å, c = 15.795 Å
α = 90.00°, β = 90.00°, γ = 90.00°
Space group Imma (No. 74)
Inequivalent atoms, fractional coordinates:
Pm  0.000  0.250  0.024 (multiplicity 4)
Pm  0.000  0.250  0.324 (multiplicity 4)
Sm  0.000  0.000  0.500 (multiplicity 4)
Sm  0.000  0.038  0.828 (multiplicity 8)
In  0.000  0.250  0.648 (multiplicity 4)


9.
For Dy2ErIr, the PBE geometry in Alexandria gives the simulated powder XRD pattern in this record (Cu Kα, 1.54184 Å).

The 10 most intense peaks (2θ = 5–70°), by intensity:
- 32.2 deg, rel. 100, (0 3 1)
- 34.6 deg, rel. 86, (1 3 1)
- 31.5 deg, rel. 39, (2 2 0)
- 38.4 deg, rel. 29, (2 3 0)
- 48.9 deg, rel. 27, (1 2 3)
- 30.1 deg, rel. 27, (2 1 1)
- 34.2 deg, rel. 25, (0 2 2)
- 40.2 deg, rel. 23, (3 0 1)
- 39.0 deg, rel. 23, (2 1 2)
- 36.4 deg, rel. 20, (1 2 2)

Structure:
a = 7.199 Å, b = 9.276 Å, c = 6.364 Å
α = 90.00°, β = 90.00°, γ = 90.00°
Space group Pnma (No. 62)
Inequivalent atoms, fractional coordinates:
Dy  0.178  0.063  0.175 (multiplicity 8)
Er  0.035  0.250  0.632 (multiplicity 4)
Ir  0.116  0.750  0.957 (multiplicity 4)


10.
For Sm2B10Rh, the PBE geometry in Alexandria gives the simulated powder XRD pattern in this record (Cu Kα, 1.54184 Å).

The 10 most intense peaks (2θ = 5–70°), by intensity:
- 30.8 deg, rel. 100, (1 2 1)
- 22.0 deg, rel. 69, (1 2 0)
- 38.2 deg, rel. 57, (0 4 1)
- 38.1 deg, rel. 46, (2 0 1)
- 27.5 deg, rel. 37, (1 1 1)
- 44.9 deg, rel. 29, (2 4 0)
- 49.0 deg, rel. 27, (1 2 2)
- 43.2 deg, rel. 21, (0 0 2)
- 28.2 deg, rel. 19, (1 3 0)
- 58.5 deg, rel. 16, (3 3 1)

Structure:
a = 5.719 Å, b = 11.389 Å, c = 4.192 Å
α = 90.00°, β = 90.00°, γ = 90.00°
Space group Pbam (No. 55)
Inequivalent atoms, fractional coordinates:
Sm  0.202  0.136  0.000 (multiplicity 4)
B  0.055  0.307  0.500 (multiplicity 4)
B  0.119  0.957  0.500 (multiplicity 4)
B  0.138  0.803  0.500 (multiplicity 4)
B  0.218  0.381  0.199 (multiplicity 8)
Rh  0.000  0.500  0.500 (multiplicity 2)


11.
For CaAg2SnBr6, the PBE geometry in Alexandria gives the simulated powder XRD pattern in this record (Cu Kα, 1.54184 Å).

The 10 most intense peaks (2θ = 5–70°), by intensity:
- 27.4 deg, rel. 100, (2 -1 3)
- 42.5 deg, rel. 61, (3 0 0)
- 35.5 deg, rel. 59, (2 -1 6)
- 46.4 deg, rel. 30, (1 1 9)
- 22.1 deg, rel. 27, (1 0 4)
- 25.6 deg, rel. 27, (0 1 5)
- 14.5 deg, rel. 21, (1 0 1)
- 32.9 deg, rel. 16, (0 2 4)
- 56.6 deg, rel. 16, (2 2 6)
- 51.3 deg, rel. 16, (2 2 3)

Structure:
a = 7.3644 Å, b = 7.3644 Å, c = 20.8052 Å
α = 90.00°, β = 90.00°, γ = 120.00°
Space group R3 (No. 146, hexagonal axes)
Inequivalent atoms, fractional coordinates:
Ca  0.0000  0.0000  0.0000 (multiplicity 3)
Ag  0.0000  0.0000  0.3250 (multiplicity 3)
Ag  0.0000  0.0000  0.7407 (multiplicity 3)
Sn  0.0000  0.0000  0.5173 (multiplicity 3)
Br  0.0014  0.6715  0.9219 (multiplicity 9)
Br  0.0277  0.3386  0.0812 (multiplicity 9)


12.
For Bi3Te2Br2, the PBE geometry in Alexandria gives the simulated powder XRD pattern in this record (Cu Kα, 1.54184 Å).

The 10 most intense peaks (2θ = 5–70°), by intensity:
- 28.9 deg, rel. 100, (1 3 1)
- 13.3 deg, rel. 83, (0 2 0)
- 29.2 deg, rel. 45, (2 1 -1)
- 33.0 deg, rel. 32, (1 2 -2)
- 22.5 deg, rel. 32, (1 2 -1)
- 21.8 deg, rel. 28, (1 1 1)
- 44.4 deg, rel. 27, (0 1 3)
- 40.7 deg, rel. 24, (1 4 -2)
- 39.8 deg, rel. 22, (1 5 1)
- 34.9 deg, rel. 20, (2 3 -1)

Structure:
a = 6.805 Å, b = 13.359 Å, c = 6.249 Å
α = 90.00°, β = 97.66°, γ = 90.00°
Space group P2_1/c (No. 14)
Inequivalent atoms, fractional coordinates:
Bi  0.000  0.000  0.000 (multiplicity 2)
Bi  0.344  0.006  0.689 (multiplicity 4)
Te  0.381  0.644  0.563 (multiplicity 4)
Br  0.129  0.147  0.332 (multiplicity 4)


13.
For CaTlInGe, the PBE geometry in Alexandria gives the simulated powder XRD pattern in this record (Cu Kα, 1.54184 Å).

The 10 most intense peaks (2θ = 5–70°), by intensity:
- 33.9 deg, rel. 100, (2 2 0)
- 60.6 deg, rel. 37, (4 2 2)
- 20.5 deg, rel. 25, (1 1 1)
- 48.6 deg, rel. 18, (4 0 0)
- 39.9 deg, rel. 14, (3 1 1)
- 23.8 deg, rel. 8, (2 0 0)
- 53.3 deg, rel. 6, (3 3 1)
- 64.7 deg, rel. 5, (5 1 1)
- 54.8 deg, rel. 4, (4 2 0)
- 41.8 deg, rel. 3, (2 2 2)

Structure:
a = 7.487 Å, b = 7.487 Å, c = 7.487 Å
α = 90.00°, β = 90.00°, γ = 90.00°
Space group F-43m (No. 216)
Inequivalent atoms, fractional coordinates:
Ca  0.000  0.000  0.000 (multiplicity 4)
Tl  0.250  0.250  0.750 (multiplicity 4)
In  0.000  0.000  0.500 (multiplicity 4)
Ge  0.250  0.250  0.250 (multiplicity 4)